Starting from a cell relaxed with GGA-PBE, the powder X-ray diffraction pattern of PaSiPd6 was calculated for λ = 1.5418 Å (Cu Kα).
No peak broadening, texture or thermal motion is included.

Structure:
```
data_PaSiPd6
_chemical_formula_sum 'Pa1 Si1 Pd6'
_symmetry_space_group_name_H-M 'P 1'
_symmetry_Int_Tables_number 1
_cell_length_a 5.3830
_cell_length_b 5.3830
_cell_length_c 5.9508
_cell_angle_alpha 101.15
_cell_angle_beta 101.15
_cell_angle_gamma 118.20
loop_
_symmetry_equiv_pos_as_xyz
'x,y,z'
loop_
_atom_site_label
_atom_site_type_symbol
_atom_site_fract_x
_atom_site_fract_y
_atom_site_fract_z
_atom_site_occupancy
Pa1 Pa 0.0000 0.0000 0.0000 1
Si1 Si 0.0000 0.0000 0.5000 1
Pd1 Pd 0.0814 0.6416 0.2517 1
Pd2 Pd 0.3584 0.9186 0.7483 1
Pd3 Pd 0.4815 0.4815 0.7464 1
Pd4 Pd 0.5185 0.5185 0.2536 1
Pd5 Pd 0.6416 0.0814 0.2517 1
Pd6 Pd 0.9186 0.3584 0.7483 1
```

Most intense lines, 5° ≤ 2θ ≤ 70°, low angle first:
- d 2.794, rel. 47
- d 2.584, rel. 27
- d 2.365, rel. 100
- d 2.310, rel. 48
- d 2.239, rel. 40
- d 2.123, rel. 46